Starting from a structure optimized by DFT (PBE), the powder X-ray diffraction pattern of Ca3Nd3Ge4 was computed for copper Kα.
Kinematic intensities with the Lorentz-polarization factor, no thermal factor.

Structural model:
```
data_Ca3Nd3Ge4
_cell_length_a 4.438
_cell_length_b 10.971
_cell_length_c 11.040
_cell_angle_alpha 90.00
_cell_angle_beta 90.00
_cell_angle_gamma 90.00
_symmetry_space_group_name_H-M 'A m m 2'
_symmetry_Int_Tables_number 38
_symmetry_space_group_name_Hall 'A 2 -2'
loop_
_atom_site_label
_atom_site_type_symbol
_atom_site_fract_x
_atom_site_fract_y
_atom_site_fract_z
Ca1 Ca 0.000 0.000 0.000
Ca2 Ca 0.500 0.248 0.074
Nd1 Nd 0.000 0.000 0.650
Nd2 Nd 0.000 0.176 0.325
Ge1 Ge 0.500 0.000 0.211
Ge2 Ge 0.500 0.000 0.444
Ge3 Ge 0.500 0.118 0.822
```

Principal peaks in the range 10° ≤ 2θ ≤ 90°, sorted by position:
2theta	d (Å)	I (rel.)	hkl
11.4	7.782	18	0 1 1
16.1	5.520	31	0 0 2
30.6	2.926	59	1 2 2
32.6	2.743	82	1 1 3
32.8	2.734	100	1 3 1
36.4	2.466	23	0 2 4
36.6	2.456	19	0 4 2
40.7	2.219	30	2 0 0
46.7	1.946	14	0 4 4
69.0	1.361	20	3 3 1